(1)
Li4Co3Cu2Sb3O16: simulated powder diffraction line list (a wavelength of 1.5418 Å), based on the GGA+U geometry in the Materials Project.

Principal peaks in the range 2θ from 10° to 80°, sorted by position:
hkl 0 0 2, 2θ = 18.2°, d 4.886, rel. 100; hkl 0 1 -1, 2θ = 19.0°, d 4.679, rel. 36; hkl -1 1 1, 2θ = 19.5°, d 4.547, rel. 30; hkl 0 2 -1, 2θ = 35.2°, d 2.550, rel. 25; hkl 0 2 1, 2θ = 35.8°, d 2.506, rel. 33; hkl 2 0 1, 2θ = 36.0°, d 2.494, rel. 27

Crystal structure
```
data_Li4Co3Cu2Sb3O16
_chemical_formula_sum 'Li4 Co3 Cu2 Sb3 O16'
_cell_length_a 5.9661
_cell_length_b 6.0137
_cell_length_c 9.7781
_cell_angle_alpha 91.55
_cell_angle_beta 90.34
_cell_angle_gamma 119.50
_space_group_name_H-M_alt 'P 1'
_space_group_IT_number 1
_space_group_name_Hall 'P 1'
loop_
_atom_site_label
_atom_site_fract_x
_atom_site_fract_y
_atom_site_fract_z
_atom_site_occupancy
Li1 0.0000 0.0000 0.0000 1
Li2 0.0177 0.0518 0.5174 1
Li3 0.3082 0.6237 0.6204 1
Li4 0.6599 0.3332 0.1055 1
Co1 0.1612 0.3389 0.2872 1
Co2 0.3142 0.1236 0.7900 1
Co3 0.8053 0.1233 0.7896 1
Cu1 0.3120 0.6315 0.9995 1
Cu2 0.6331 0.2788 0.5217 1
Sb1 0.1603 0.8319 0.2890 1
Sb2 0.6558 0.8323 0.2880 1
Sb3 0.8068 0.6178 0.7885 1
O1 0.0223 0.5236 0.1673 1
O2 0.1364 0.2781 0.8873 1
O3 0.1418 0.8086 0.9002 1
O4 0.3160 0.1572 0.4027 1
O5 0.3378 0.6871 0.4065 1
O6 0.4797 0.9783 0.1729 1
O7 0.4825 0.4197 0.6687 1
O8 0.4829 0.5248 0.1633 1
O9 0.4914 0.9833 0.6920 1
O10 0.6447 0.2919 0.8945 1
O11 0.6687 0.8125 0.9000 1
O12 0.8248 0.1569 0.4025 1
O13 0.8424 0.7005 0.4041 1
O14 0.9319 0.4201 0.6689 1
O15 0.9749 0.9557 0.6933 1
O16 0.9846 0.9870 0.1830 1
```

(2)
BaMnO3: simulated powder diffraction line list (a wavelength of 1.5418 Å), based on the GGA+U geometry in the Materials Project.

Principal peaks in the range 2θ from 10° to 80°, sorted by position:
hkl 1 0 4, 2θ = 24.3°, d 3.656, rel. 38; hkl 0 1 5, 2θ = 27.4°, d 3.256, rel. 62; hkl 1 1 0, 2θ = 31.0°, d 2.883, rel. 100; hkl 0 2 4, 2θ = 39.8°, d 2.264, rel. 29; hkl 2 0 5, 2θ = 41.9°, d 2.159, rel. 39; hkl 2 2 0, 2θ = 64.7°, d 1.442, rel. 19

Crystal structure
```
data_BaMnO3
_chemical_formula_sum 'Ba9 Mn9 O27'
_cell_length_a 5.7661
_cell_length_b 5.7661
_cell_length_c 21.4735
_cell_angle_alpha 90.00
_cell_angle_beta 90.00
_cell_angle_gamma 120.00
_space_group_name_H-M_alt 'R -3 m'
_space_group_IT_number 166
_space_group_name_Hall '-R 3 2"'
loop_
_atom_site_label
_atom_site_fract_x
_atom_site_fract_y
_atom_site_fract_z
_atom_site_occupancy
Ba1 0.0000 0.0000 0.0000 1
Ba2 0.0000 0.0000 0.2207 1
Mn1 0.0000 0.0000 0.3812 1
Mn2 0.0000 0.0000 0.5000 1
O1 0.0000 0.5000 0.0000 1
O2 0.0392 0.5196 0.2250 1
```